Simulated X-ray powder pattern
Compound: CaGa2O4
Radiation: Cu Kα (λ = 1.5418 Å)
Structure: a cell relaxed with PBE
Intensities are scaled so that the largest is 100.

Principal peaks in the range 10 to 80 degrees two-theta, by angle:
2theta  I (rel.)
22.10  75
28.42  92
29.89  74
30.61  50
31.16  27
33.53  73
34.46  100
39.46  36
59.77  28
60.55  34

Structure:
Cell lengths 8.074, 8.938, 10.729 Å; angles 90.00, 94.87, 90.00 degrees
Space group P2_1/c (No. 14)
Unique sites:
Ca 0.001 0.215 0.128 x4
Ca 0.463 0.239 0.144 x4
Ga 0.175 0.556 0.138 x4
Ga 0.235 0.058 0.370 x4
Ga 0.291 0.608 0.617 x4
Ga 0.301 0.096 0.890 x4
O 0.028 0.529 0.829 x4
O 0.138 0.744 0.069 x4
O 0.209 0.072 0.044 x4
O 0.233 0.244 0.285 x4
O 0.274 0.586 0.303 x4
O 0.278 0.083 0.541 x4
O 0.369 0.566 0.782 x4
O 0.488 0.663 0.552 x4



Simulated X-ray powder pattern
Compound: MnSb
Radiation: Cu Kα (λ = 1.5418 Å)
Structure: a cell relaxed with PBE
Intensities are scaled so that the largest is 100.

Principal peaks in the range 10 to 80 degrees two-theta, by angle:
2theta  I (rel.)
29.77  100
31.89  5
40.99  51
44.17  47
54.18  18
55.52  24
61.83  14
72.39  15
73.54  7
79.09  14

Structure:
Cell lengths 4.1005, 4.1005, 5.6121 Å; angles 90.00, 90.00, 120.00 degrees
Space group P6_3/mmc (No. 194)
Unique sites:
Mn 0.0000 0.0000 0.0000 x2
Sb 0.3333 0.6667 0.2500 x2



Simulated X-ray powder pattern
Compound: Na4SnTe4
Radiation: Cu Kα (λ = 1.5418 Å)
Structure: a cell relaxed with PBE
Intensities are scaled so that the largest is 100.

Principal peaks in the range 10 to 80 degrees two-theta, by angle:
2theta  I (rel.)
15.22  50
15.33  67
23.13  74
23.39  100
25.25  93
25.47  43
28.44  98
32.57  55
32.85  44
42.35  45

Structure:
Cell lengths 8.747, 8.891, 15.410 Å; angles 90.00, 90.00, 90.00 degrees
Space group P2_12_12_1 (No. 19)
Unique sites:
Na 0.014 0.040 0.084 x4
Na 0.119 0.643 0.871 x4
Na 0.125 0.769 0.633 x4
Na 0.167 0.631 0.134 x4
Sn 0.221 0.931 0.373 x4
Te 0.015 0.348 0.238 x4
Te 0.015 0.961 0.791 x4
Te 0.145 0.162 0.488 x4
Te 0.187 0.320 0.969 x4



Simulated X-ray powder pattern
Compound: CuSe2Br
Radiation: Cu Kα (λ = 1.5418 Å)
Structure: a cell relaxed with PBE
Intensities are scaled so that the largest is 100.

Principal peaks in the range 10 to 80 degrees two-theta, by angle:
2theta  I (rel.)
15.28  100
23.55  23
24.52  33
27.92  59
29.27  50
30.46  39
31.89  31
43.14  19
47.28  22
51.20  43

Structure:
Cell lengths 7.887, 4.995, 12.614 Å; angles 90.00, 113.15, 90.00 degrees
Space group P2_1/c (No. 14)
Unique sites:
Cu 0.181 0.137 0.248 x4
Se 0.311 0.035 0.663 x4
Se 0.412 0.695 0.832 x4
Br 0.088 0.111 0.883 x4



Simulated X-ray powder pattern
Compound: Ba7ZrN6
Radiation: Cu Kα (λ = 1.5418 Å)
Structure: a cell relaxed with PBE
Intensities are scaled so that the largest is 100.

Principal peaks in the range 10 to 80 degrees two-theta, by angle:
2theta  I (rel.)
27.08  15
27.70  100
28.02  37
28.58  44
28.87  21
30.22  15
30.69  35
34.73  20
39.78  17
50.08  13

Structure:
Cell lengths 12.493, 7.327, 15.035 Å; angles 90.00, 90.00, 90.00 degrees
Space group Pbcn (No. 60)
Unique sites:
Ba 0.000 0.058 0.250 x4
Ba 0.006 0.241 0.527 x8
Ba 0.220 0.428 0.123 x8
Ba 0.230 0.271 0.373 x8
Zr 0.000 0.434 0.750 x4
N 0.018 0.392 0.360 x8
N 0.132 0.258 0.720 x8
N 0.164 0.017 0.983 x8



Simulated X-ray powder pattern
Compound: NiN
Radiation: Cu Kα (λ = 1.5418 Å)
Structure: a cell relaxed with PBE
Intensities are scaled so that the largest is 100.

Principal peaks in the range 10 to 80 degrees two-theta, by angle:
2theta  I (rel.)
26.50  100
32.52  5
37.54  28
37.82  24
46.54  41
54.35  17
54.56  17
61.66  17
68.11  16
74.47  18

Structure:
Cell lengths 3.364, 3.364, 4.792 Å; angles 90.00, 90.00, 90.00 degrees
Space group P4_2/mmc (No. 131)
Unique sites:
Ni 0.000 0.000 0.000 x2
N 0.000 0.500 0.000 x2